# 1
For CsSrU2O7, DFT lattice parameters and positions (PBE) gives the simulated X-ray diffraction stick pattern in this record (Cu Kα (weighted mean of Kα1 and Kα2)).
Lines closer than 0.1° are merged.

Most intense lines, 10 to 90 degrees two-theta, in order of rising 2θ:
d (Å)  I (rel.)  hkl
4.306  24  1 0 0
4.025  21  1 0 1
3.777  24  0 0 3
3.428  100  1 0 2
3.045  55  1 1 0
2.839  24  1 0 3
2.369  20  1 1 3
2.153  30  2 0 0
2.005  20  1 0 5
1.823  34  2 1 2

a b c (Å): 4.3058 4.3058 11.3302
angles (deg): 90.00 90.00 90.00
Space group P4/mmm (No. 123)
One atom of each set of equivalent atoms:
Cs (0.0000, 0.0000, 0.0000) (multiplicity 1)
Sr (0.0000, 0.0000, 0.5000) (multiplicity 1)
U (0.5000, 0.5000, 0.3100) (multiplicity 2)
O (0.0000, 0.5000, 0.3405) (multiplicity 4)
O (0.5000, 0.5000, 0.1410) (multiplicity 2)
O (0.5000, 0.5000, 0.5000) (multiplicity 1)


# 2
For Cs8Ta6O19, DFT lattice parameters and positions (PBE) gives the simulated X-ray diffraction stick pattern in this record (Cu Kα (weighted mean of Kα1 and Kα2)).
Lines closer than 0.1° are merged.

Most intense lines, 10 to 90 degrees two-theta, in order of rising 2θ:
d (Å)  I (rel.)  hkl
8.223  50  1 0 1
7.181  18  1 1 0
3.256  100  2 1 3
3.211  51  1 3 0
2.919  12  3 1 2
2.335  15  0 0 6
2.271  19  2 4 0
2.010  15  3 4 1
1.889  15  1 3 6
1.863  15  5 0 3

a b c (Å): 10.1549 10.1549 14.0118
angles (deg): 90.00 90.00 90.00
Space group I4/m (No. 87)
One atom of each set of equivalent atoms:
Cs (0.0832, 0.2814, 0.1470) (multiplicity 16)
Ta (0.0000, 0.0000, 0.3317) (multiplicity 4)
Ta (0.1060, 0.2106, 0.5000) (multiplicity 8)
O (0.0000, 0.0000, 0.2005) (multiplicity 4)
O (0.0000, 0.0000, 0.5000) (multiplicity 2)
O (0.0828, 0.7404, 0.5000) (multiplicity 8)
O (0.0900, 0.1728, 0.3593) (multiplicity 16)
O (0.1353, 0.7002, 0.0000) (multiplicity 8)


# 3
For CsTa4O8, DFT lattice parameters and positions (PBE) gives the simulated X-ray diffraction stick pattern in this record (Cu Kα (weighted mean of Kα1 and Kα2)).
Lines closer than 0.1° are merged.

Most intense lines, 10 to 90 degrees two-theta, in order of rising 2θ:
d (Å)  I (rel.)  hkl
5.486  23  2 0 0
3.879  16  2 2 0
3.469  100  1 3 0
2.586  18  3 3 0
2.533  95  1 2 1
2.453  16  4 2 0
1.978  42  4 1 1
1.829  26  6 0 0
1.678  41  2 5 1
1.483  25  5 4 1

a b c (Å): 10.9712 10.9712 2.9582
angles (deg): 90.00 90.00 90.00
Space group I4/m (No. 87)
One atom of each set of equivalent atoms:
Cs (0.0000, 0.0000, 0.0000) (multiplicity 2)
Ta (0.1543, 0.3337, 0.0000) (multiplicity 8)
O (0.0294, 0.6647, 0.0000) (multiplicity 8)
O (0.1572, 0.1921, 0.5000) (multiplicity 8)


- Which formula does entry 1 have?
  CsSrU2O7


- Number 3 is which compound?
  CsTa4O8